Starting from a DFT-relaxed cell (GGA+U, Alexandria), the powder XRD pattern of CsLiMnF6 was simulated for λ = 1.5418 Å (Cu Kα).
Neutral-atom scattering factors, no anomalous dispersion.

Main lines, by angle (2θ from 10° to 80°):
2θ 19.44, I = 25
2θ 23.80, I = 100
2θ 33.81, I = 16
2θ 34.01, I = 12
2θ 36.78, I = 15
2θ 39.48, I = 8
2θ 41.94, I = 14
2θ 44.20, I = 30
2θ 46.30, I = 11
2θ 55.03, I = 13
2θ 58.68, I = 10
2θ 67.62, I = 7

Crystal structure
a b c (Å): 5.274 5.274 6.514
angles (deg): 90.04 90.04 120.10
Atoms (fractional coordinates):
Cs  0.000  0.000  0.000
Li  0.666  0.334  0.500
Mn  0.333  0.667  0.500
F  0.032  0.395  0.337
F  0.033  0.639  0.663
F  0.360  0.395  0.663
F  0.361  0.967  0.337
F  0.605  0.640  0.337
F  0.605  0.968  0.663